No. 1
Diffraction record for Ac4TlPd5. The powder X-ray diffraction pattern is simulated, not measured: it uses a cell relaxed with PBE and Cu Ka.
Intensities are scaled so that the largest is 100.

Cell: 15.4671 15.4671 15.4671 Å, 17.21 17.21 17.21°
Element x y z (fractional)
Ac 0.1105 0.1105 0.1105
Ac 0.2966 0.2966 0.2966
Ac 0.7034 0.7034 0.7034
Ac 0.8895 0.8895 0.8895
Tl 0.5000 0.5000 0.5000
Pd 0.0000 0.0000 0.0000
Pd 0.1827 0.1827 0.1827
Pd 0.4069 0.4069 0.4069
Pd 0.5931 0.5931 0.5931
Pd 0.8173 0.8173 0.8173

Principal peaks in the range 2θ = 10–80°, in order of rising 2θ:
2θ (°)	Rel. int.
24.24	25
26.08	15
29.64	100
38.91	67
40.40	23
45.70	11
49.67	24
64.83	22
68.70	14
70.47	12

No. 2
Diffraction record for NdAl2GaNi2. The powder X-ray diffraction pattern is simulated, not measured: it uses a cell relaxed with PBE and Cu Ka.
Intensities are scaled so that the largest is 100.

Cell: 4.3862 4.3862 5.6897 Å, 90.00 90.00 90.00°
Element x y z (fractional)
Nd 0.0000 0.0000 0.0000
Al 0.5000 0.5000 0.2529
Al 0.5000 0.5000 0.7471
Ga 0.0000 0.0000 0.5000
Ni 0.0000 0.5000 0.5000
Ni 0.5000 0.0000 0.5000

Principal peaks in the range 2θ = 10–80°, in order of rising 2θ:
2θ (°)	Rel. int.
20.25	86
28.78	28
31.45	48
32.89	79
37.69	100
41.16	85
46.28	20
52.70	44
57.03	59
59.62	28

No. 3
Diffraction record for Nb12In3Ge. The powder X-ray diffraction pattern is simulated, not measured: it uses a cell relaxed with PBE and Cu Ka.
Intensities are scaled so that the largest is 100.

Cell: 5.3055 5.3123 10.5733 Å, 90.00 90.00 90.00°
Element x y z (fractional)
Nb 0.0000 0.0000 0.1213
Nb 0.0000 0.0000 0.3745
Nb 0.0000 0.0000 0.6255
Nb 0.0000 0.0000 0.8787
Nb 0.2493 0.5000 0.5000
Nb 0.2585 0.5000 0.0000
Nb 0.5000 0.2465 0.2410
Nb 0.5000 0.2465 0.7590
Nb 0.5000 0.7535 0.2410
Nb 0.5000 0.7535 0.7590
Nb 0.7415 0.5000 0.0000
Nb 0.7507 0.5000 0.5000
In 0.0000 0.5000 0.2497
In 0.0000 0.5000 0.7503
In 0.5000 0.0000 0.5000
Ge 0.5000 0.0000 0.0000

Principal peaks in the range 2θ = 10–80°, in order of rising 2θ:
2θ (°)	Rel. int.
33.77	39
33.91	19
37.91	100
38.03	49
41.70	85
41.79	42
63.17	17
63.33	14
65.86	31
65.99	32

No. 4
Diffraction record for Cs4H5Ir. The powder X-ray diffraction pattern is simulated, not measured: it uses a cell relaxed with PBE and Cu Ka.
Intensities are scaled so that the largest is 100.

Cell: 7.2866 7.2866 7.2866 Å, 99.47 99.47 132.13°
Element x y z (fractional)
Cs 0.1194 0.7277 0.8471
Cs 0.2723 0.1194 0.3917
Cs 0.7277 0.8806 0.6083
Cs 0.8806 0.2723 0.1529
H 0.1992 0.1992 0.0000
H 0.3162 0.4483 0.7801
H 0.4483 0.6683 0.1321
H 0.5361 0.3162 0.8679
H 0.6683 0.5361 0.2199
Ir 0.4785 0.4785 0.0000

Principal peaks in the range 2θ = 10–80°, in order of rising 2θ:
2θ (°)	Rel. int.
13.29	10
25.97	100
30.00	32
30.24	18
42.94	13
43.12	23
50.87	25
51.18	15
53.42	13
68.96	10